[1]
# KH3Au
Calculated XRD peak list, Cu Kα X-rays. Input: a structure optimized by DFT (PBE).

Main lines, sorted by position (2θ from 15° to 90°):
Position (°2θ)  I (rel.)
18.42  589
22.47  866
26.04  971
32.09  736
32.68  1000
42.33  367
52.59  293
56.20  294

Structure:
Cell lengths 4.043, 4.043, 19.272 Å; angles 90.00, 90.00, 90.00 degrees
Space group I-4m2 (No. 119)
Symmetry-distinct sites (fractional):
K1 0.000 0.000 0.108
H1 0.000 0.097 0.340
H2 0.000 0.500 0.000
Au1 0.000 0.000 0.500
Au2 0.000 0.500 0.250

=====

[2]
# RbScMnCl6
Calculated XRD peak list, Cu Kα X-rays. Input: a structure optimized by DFT (PBE).

Main lines, sorted by position (2θ from 15° to 90°):
Position (°2θ)  I (rel.)
20.11  1000
30.85  428
35.09  147
37.20  752
45.78  208
49.24  135
50.39  238
56.73  164

Structure:
Cell lengths 6.2733, 6.2733, 15.1683 Å; angles 90.00, 90.00, 120.00 degrees
Space group P-31c (No. 163)
Symmetry-distinct sites (fractional):
Rb1 0.0000 0.0000 0.0000
Sc1 0.3333 0.6667 0.2500
Mn1 0.3333 0.6667 0.7500
Cl1 0.0181 0.3745 0.6578

=====

- What is the formula in the second record?
  RbScMnCl6